Diffraction record for Tl3HgI5. The X-ray diffraction stick pattern is computed, not measured: it uses a GGA-PBE-relaxed structure and Cu Kα.
Kinematic intensities with the Lorentz-polarization factor, no thermal factor.

Unit cell a=10.908 b=10.908 c=10.908 alpha=130.45 beta=130.45 gamma=72.69
Element x y z (fractional)
1 Tl 0.148 0.648 0.796
2 Tl 0.250 0.250 0.000
3 Tl 0.352 0.148 0.500
4 Tl 0.648 0.852 0.500
5 Tl 0.750 0.750 0.000
6 Tl 0.852 0.352 0.204
7 Hg 0.250 0.750 0.500
8 Hg 0.750 0.250 0.500
9 I 0.000 0.000 0.000
10 I 0.023 0.184 0.500
11 I 0.184 0.684 0.161
12 I 0.316 0.477 0.500
13 I 0.477 0.977 0.161
14 I 0.500 0.500 0.000
15 I 0.523 0.023 0.839
16 I 0.684 0.523 0.500
17 I 0.816 0.316 0.839
18 I 0.977 0.816 0.500

The 10 most intense peaks (10 to 80 degrees two-theta), most intense first:
d [Å]  I (rel.)
3.352  100
3.167  41
2.891  28
3.232  26
4.055  18
2.074  18
2.057  18
2.466  17
2.044  16
2.665  16


Diffraction record for TlHgI4. The X-ray diffraction stick pattern is computed, not measured: it uses a GGA-PBE-relaxed structure and Cu Kα.
Kinematic intensities with the Lorentz-polarization factor, no thermal factor.

Unit cell a=8.551 b=8.551 c=9.814 alpha=90.00 beta=90.00 gamma=90.00
Element x y z (fractional)
1 Tl 0.000 0.500 0.000
2 Tl 0.500 0.000 0.500
3 Hg 0.000 0.000 0.000
4 Hg 0.000 0.000 0.500
5 I 0.230 0.251 0.500
6 I 0.230 0.749 0.500
7 I 0.251 0.230 0.000
8 I 0.251 0.770 0.000
9 I 0.749 0.230 0.000
10 I 0.749 0.770 0.000
11 I 0.770 0.251 0.500
12 I 0.770 0.749 0.500

The 10 most intense peaks (10 to 80 degrees two-theta), most intense first:
d [Å]  I (rel.)
4.907  100
2.574  75
3.022  67
8.551  42
1.960  33
1.905  31
2.137  31
3.563  24
6.447  24
4.258  20


Diffraction record for Tl4HgI4. The X-ray diffraction stick pattern is computed, not measured: it uses a GGA-PBE-relaxed structure and Cu Kα.
Kinematic intensities with the Lorentz-polarization factor, no thermal factor.

Unit cell a=8.445 b=8.445 c=10.741 alpha=127.55 beta=127.55 gamma=49.10
Element x y z (fractional)
1 Tl 0.108 0.108 0.413
2 Tl 0.313 0.313 0.211
3 Tl 0.687 0.687 0.789
4 Tl 0.892 0.892 0.587
5 Hg 0.000 0.000 0.000
6 I 0.188 0.188 0.790
7 I 0.407 0.407 0.612
8 I 0.593 0.593 0.388
9 I 0.812 0.812 0.210

The 10 most intense peaks (10 to 80 degrees two-theta), most intense first:
d [Å]  I (rel.)
3.509  100
3.540  99
3.452  95
2.461  79
2.492  78
2.068  46
2.560  43
1.976  40
2.392  35
4.041  27


Diffraction record for U2Hg4I9. The X-ray diffraction stick pattern is computed, not measured: it uses a GGA-PBE-relaxed structure and Cu Kα.
Kinematic intensities with the Lorentz-polarization factor, no thermal factor.

Unit cell a=9.349 b=9.506 c=21.846 alpha=89.65 beta=89.93 gamma=61.05
Element x y z (fractional)
1 U 0.002 0.000 0.158
2 U 0.002 0.001 0.342
3 U 0.998 0.000 0.842
4 U 0.998 0.999 0.658
5 Hg 0.331 0.339 0.998
6 Hg 0.332 0.341 0.832
7 Hg 0.332 0.343 0.333
8 Hg 0.334 0.339 0.498
9 Hg 0.666 0.661 0.502
10 Hg 0.668 0.657 0.667
11 Hg 0.668 0.659 0.168
12 Hg 0.669 0.661 0.002
13 I 0.002 0.741 0.091
14 I 0.004 0.255 0.589
15 I 0.006 0.245 0.249
16 I 0.248 0.001 0.750
17 I 0.248 0.758 0.251
18 I 0.254 0.741 0.590
19 I 0.258 0.746 0.911
20 I 0.264 0.004 0.090
21 I 0.267 0.999 0.409
22 I 0.733 0.001 0.591
23 I 0.736 0.996 0.910
24 I 0.742 0.254 0.089
25 I 0.746 0.259 0.410
26 I 0.752 0.242 0.749
27 I 0.752 0.999 0.250
28 I 0.994 0.755 0.751
29 I 0.996 0.745 0.411
30 I 0.998 0.259 0.909

The 10 most intense peaks (10 to 80 degrees two-theta), most intense first:
d [Å]  I (rel.)
2.878  100
2.895  92
6.542  84
2.869  65
8.149  63
2.728  52
3.933  45
3.991  43
6.598  42
2.905  42


Diffraction record for U2HgI6. The X-ray diffraction stick pattern is computed, not measured: it uses a GGA-PBE-relaxed structure and Cu Kα.
Kinematic intensities with the Lorentz-polarization factor, no thermal factor.

Unit cell a=7.924 b=7.924 c=9.511 alpha=90.00 beta=90.00 gamma=120.00
Element x y z (fractional)
1 U 0.333 0.667 0.000
2 U 0.667 0.333 0.000
3 Hg 0.000 0.000 0.500
4 I 0.000 0.363 0.193
5 I 0.000 0.637 0.807
6 I 0.363 0.000 0.193
7 I 0.363 0.363 0.807
8 I 0.637 0.000 0.807
9 I 0.637 0.637 0.193

The 10 most intense peaks (10 to 80 degrees two-theta), most intense first:
d [Å]  I (rel.)
3.044  100
5.565  83
3.657  57
2.287  39
2.502  24
2.039  24
2.475  23
1.829  21
1.428  18
2.329  16


Diffraction record for UHg2I5. The X-ray diffraction stick pattern is computed, not measured: it uses a GGA-PBE-relaxed structure and Cu Kα.
Kinematic intensities with the Lorentz-polarization factor, no thermal factor.

Unit cell a=6.141 b=13.668 c=9.953 alpha=90.00 beta=107.35 gamma=90.00
Element x y z (fractional)
1 U 0.194 0.250 0.384
2 U 0.806 0.750 0.616
3 Hg 0.112 0.642 0.215
4 Hg 0.112 0.858 0.215
5 Hg 0.888 0.142 0.785
6 Hg 0.888 0.358 0.785
7 I 0.085 0.100 0.159
8 I 0.085 0.400 0.159
9 I 0.299 0.096 0.602
10 I 0.299 0.404 0.602
11 I 0.306 0.750 0.616
12 I 0.694 0.250 0.384
13 I 0.701 0.596 0.398
14 I 0.701 0.904 0.398
15 I 0.915 0.600 0.841
16 I 0.915 0.900 0.841

The 10 most intense peaks (10 to 80 degrees two-theta), most intense first:
d [Å]  I (rel.)
5.843  100
3.070  71
3.288  57
3.216  37
3.247  29
2.342  29
2.354  29
2.627  24
4.108  23
2.950  22